1.
# LiPr8Sn6
Theoretical powder diffraction line list, CuKα. Input: the GGA-PBE geometry in Alexandria.
No peak broadening, texture or thermal motion is included.

Structure:
Unit cell a=8.536 b=8.536 c=8.536 alpha=67.75 beta=67.75 gamma=67.75
Element x y z (fractional)
Li1 0.000 0.000 0.000
Pr1 0.101 0.408 0.780
Pr2 0.220 0.899 0.592
Pr3 0.333 0.333 0.333
Pr4 0.408 0.780 0.101
Pr5 0.592 0.220 0.899
Pr6 0.667 0.667 0.667
Pr7 0.780 0.101 0.408
Pr8 0.899 0.592 0.220
Sn1 0.068 0.729 0.418
Sn2 0.271 0.582 0.932
Sn3 0.418 0.068 0.729
Sn4 0.582 0.932 0.271
Sn5 0.729 0.418 0.068
Sn6 0.932 0.271 0.582

Largest 12 diffraction maxima, in order of falling intensity, 10 to 90 degrees two-theta:
2θ = 32.60°, 2.747 Å, I = 100
2θ = 33.27°, 2.693 Å, I = 77
2θ = 43.02°, 2.102 Å, I = 33
2θ = 47.27°, 1.923 Å, I = 29
2θ = 18.65°, 4.758 Å, I = 29
2θ = 58.60°, 1.575 Å, I = 28
2θ = 27.30°, 3.266 Å, I = 20
2θ = 58.17°, 1.586 Å, I = 17
2θ = 23.13°, 3.846 Å, I = 15
2θ = 59.87°, 1.545 Å, I = 14
2θ = 66.62°, 1.404 Å, I = 11
2θ = 78.11°, 1.224 Å, I = 11

2.
# SrLiPr
Theoretical powder diffraction line list, CuKα. Input: the GGA-PBE geometry in Alexandria.
No peak broadening, texture or thermal motion is included.

Structure:
Unit cell a=3.808 b=3.808 c=8.864 alpha=90.00 beta=90.00 gamma=120.00
Element x y z (fractional)
Sr1 0.000 0.000 0.000
Li1 0.333 0.667 0.667
Pr1 0.667 0.333 0.368

Largest 12 diffraction maxima, in order of falling intensity, 10 to 90 degrees two-theta:
2θ = 28.89°, 3.091 Å, I = 100
2θ = 33.88°, 2.646 Å, I = 53
2θ = 20.03°, 4.432 Å, I = 27
2θ = 49.56°, 1.839 Å, I = 24
2θ = 27.04°, 3.298 Å, I = 23
2θ = 30.25°, 2.955 Å, I = 20
2θ = 57.59°, 1.601 Å, I = 19
2θ = 47.77°, 1.904 Å, I = 19
2θ = 41.01°, 2.201 Å, I = 18
2θ = 56.79°, 1.621 Å, I = 15
2θ = 52.29°, 1.749 Å, I = 12
2θ = 77.30°, 1.234 Å, I = 12

3.
# SrLiPrTe3
Theoretical powder diffraction line list, CuKα. Input: the GGA-PBE geometry in Alexandria.
No peak broadening, texture or thermal motion is included.

Structure:
Unit cell a=9.404 b=4.526 c=9.847 alpha=90.00 beta=102.50 gamma=90.00
Element x y z (fractional)
Sr1 0.181 0.250 0.236
Sr2 0.819 0.750 0.764
Li1 0.084 0.250 0.586
Li2 0.916 0.750 0.414
Pr1 0.331 0.750 0.833
Pr2 0.669 0.250 0.167
Te1 0.101 0.250 0.871
Te2 0.217 0.750 0.505
Te3 0.430 0.750 0.171
Te4 0.570 0.250 0.829
Te5 0.783 0.250 0.495
Te6 0.899 0.750 0.129

Largest 12 diffraction maxima, in order of falling intensity, 10 to 90 degrees two-theta:
2θ = 27.83°, 3.205 Å, I = 100
2θ = 27.68°, 3.223 Å, I = 38
2θ = 35.83°, 2.506 Å, I = 24
2θ = 38.30°, 2.350 Å, I = 22
2θ = 39.84°, 2.263 Å, I = 21
2θ = 33.94°, 2.641 Å, I = 19
2θ = 49.30°, 1.848 Å, I = 15
2θ = 56.45°, 1.630 Å, I = 14
2θ = 43.41°, 2.084 Å, I = 13
2θ = 36.41°, 2.468 Å, I = 13
2θ = 43.23°, 2.093 Å, I = 12
2θ = 21.90°, 4.059 Å, I = 11

4.
# LiTbPr2
Theoretical powder diffraction line list, CuKα. Input: the GGA-PBE geometry in Alexandria.
No peak broadening, texture or thermal motion is included.

Structure:
Unit cell a=11.624 b=11.624 c=11.624 alpha=17.94 beta=17.94 gamma=17.94
Element x y z (fractional)
Li1 0.000 0.000 0.000
Tb1 0.167 0.167 0.167
Pr1 0.416 0.416 0.416
Pr2 0.585 0.585 0.585

Largest 12 diffraction maxima, in order of falling intensity, 10 to 90 degrees two-theta:
2θ = 31.32°, 2.856 Å, I = 100
2θ = 33.91°, 2.643 Å, I = 49
2θ = 60.49°, 1.531 Å, I = 41
2θ = 30.32°, 2.948 Å, I = 38
2θ = 28.55°, 3.126 Å, I = 29
2θ = 50.35°, 1.812 Å, I = 27
2θ = 35.44°, 2.533 Å, I = 21
2θ = 54.03°, 1.697 Å, I = 15
2θ = 28.91°, 3.088 Å, I = 14
2θ = 15.50°, 5.717 Å, I = 14
2θ = 86.79°, 1.122 Å, I = 13
2θ = 40.79°, 2.212 Å, I = 12